# Ag9Ge
Theoretical PXRD pattern, Cu Kα (λ = 1.5418 Å). Input: a cell relaxed with PBE.
Intensities are scaled so that the largest is 100.

Cell and atoms:
```
data_Ag9Ge
_chemical_formula_sum 'Ag18 Ge2'
_symmetry_space_group_name_H-M 'P 1'
_symmetry_Int_Tables_number 1
_cell_length_a 2.901
_cell_length_b 4.196
_cell_length_c 43.555
_cell_angle_alpha 90.00
_cell_angle_beta 90.00
_cell_angle_gamma 90.00
loop_
_symmetry_equiv_pos_as_xyz
'x,y,z'
loop_
_atom_site_label
_atom_site_fract_x
_atom_site_fract_y
_atom_site_fract_z
Ag1 0.250 0.250 0.017
Ag2 0.250 0.250 0.085
Ag3 0.250 0.250 0.152
Ag4 0.250 0.250 0.220
Ag5 0.250 0.250 0.290
Ag6 0.250 0.250 0.746
Ag7 0.250 0.250 0.813
Ag8 0.250 0.250 0.881
Ag9 0.250 0.250 0.949
Ag10 0.750 0.750 0.051
Ag11 0.750 0.750 0.119
Ag12 0.750 0.750 0.187
Ag13 0.750 0.750 0.254
Ag14 0.750 0.750 0.710
Ag15 0.750 0.750 0.780
Ag16 0.750 0.750 0.848
Ag17 0.750 0.750 0.915
Ag18 0.750 0.750 0.983
Ge1 0.250 0.250 0.682
Ge2 0.750 0.750 0.318
```

Largest 6 diffraction maxima, in order of rising 2θ, 10 to 80 degrees two-theta:
d_spacing  I (rel.)
2.499  21
2.386  100
2.122  13
2.097  20
2.052  25
1.467  16

=====

# SmDyNCl2
Theoretical PXRD pattern, Cu Kα (λ = 1.5418 Å). Input: a cell relaxed with PBE.
Intensities are scaled so that the largest is 100.

Cell and atoms:
```
data_SmDyNCl2
_chemical_formula_sum 'Sm1 Dy1 N1 Cl2'
_symmetry_space_group_name_H-M 'P 1'
_symmetry_Int_Tables_number 1
_cell_length_a 3.639
_cell_length_b 3.639
_cell_length_c 10.154
_cell_angle_alpha 90.00
_cell_angle_beta 90.00
_cell_angle_gamma 120.00
loop_
_symmetry_equiv_pos_as_xyz
'x,y,z'
loop_
_atom_site_label
_atom_site_fract_x
_atom_site_fract_y
_atom_site_fract_z
Sm1 0.000 0.000 0.000
Dy1 0.333 0.667 0.261
N1 0.667 0.333 0.140
Cl1 0.000 0.000 0.434
Cl2 0.333 0.667 0.820
```

Largest 6 diffraction maxima, in order of rising 2θ, 10 to 80 degrees two-theta:
d_spacing  I (rel.)
3.151  25
3.010  35
2.677  100
2.306  33
1.819  25
1.505  17

=====

# Rb2Pd3O4
Theoretical PXRD pattern, Cu Kα (λ = 1.5418 Å). Input: a cell relaxed with PBE.
Intensities are scaled so that the largest is 100.

Cell and atoms:
```
data_Rb2Pd3O4
_chemical_formula_sum 'Rb2 Pd3 O4'
_symmetry_space_group_name_H-M 'P 1'
_symmetry_Int_Tables_number 1
_cell_length_a 8.061
_cell_length_b 8.061
_cell_length_c 8.061
_cell_angle_alpha 157.20
_cell_angle_beta 139.30
_cell_angle_gamma 47.16
loop_
_symmetry_equiv_pos_as_xyz
'x,y,z'
loop_
_atom_site_label
_atom_site_fract_x
_atom_site_fract_y
_atom_site_fract_z
Rb1 0.209 0.209 0.000
Rb2 0.791 0.791 0.000
Pd1 0.000 0.500 0.500
Pd2 0.408 0.908 0.500
Pd3 0.592 0.092 0.500
O1 0.163 0.400 0.763
O2 0.362 0.600 0.763
O3 0.638 0.400 0.237
O4 0.837 0.600 0.237
```

Largest 6 diffraction maxima, in order of rising 2θ, 10 to 80 degrees two-theta:
d_spacing  I (rel.)
2.803  47
2.675  27
2.614  100
2.594  96
1.935  27
1.490  26

=====

# Gd2YIn3Pt2Au
Theoretical PXRD pattern, Cu Kα (λ = 1.5418 Å). Input: a cell relaxed with PBE.
Intensities are scaled so that the largest is 100.

Cell and atoms:
```
data_Gd2YIn3Pt2Au
_chemical_formula_sum 'Gd2 Y1 In3 Pt2 Au1'
_symmetry_space_group_name_H-M 'P 1'
_symmetry_Int_Tables_number 1
_cell_length_a 3.841
_cell_length_b 7.805
_cell_length_c 7.805
_cell_angle_alpha 119.98
_cell_angle_beta 90.00
_cell_angle_gamma 90.00
loop_
_symmetry_equiv_pos_as_xyz
'x,y,z'
loop_
_atom_site_label
_atom_site_fract_x
_atom_site_fract_y
_atom_site_fract_z
Gd1 0.000 0.204 0.796
Gd2 0.000 0.796 0.204
Y1 0.000 0.388 0.388
In1 0.500 0.065 0.065
In2 0.500 0.528 0.795
In3 0.500 0.795 0.528
Pt1 0.500 0.129 0.462
Pt2 0.500 0.462 0.129
Au1 0.000 0.796 0.796
```

Largest 6 diffraction maxima, in order of rising 2θ, 10 to 80 degrees two-theta:
d_spacing  I (rel.)
2.738  73
2.537  100
2.253  59
2.127  43
1.462  30
1.438  38

=====

# TbFe2W2
Theoretical PXRD pattern, Cu Kα (λ = 1.5418 Å). Input: a cell relaxed with PBE.
Intensities are scaled so that the largest is 100.

Cell and atoms:
```
data_TbFe2W2
_chemical_formula_sum 'Tb1 Fe2 W2'
_symmetry_space_group_name_H-M 'P 1'
_symmetry_Int_Tables_number 1
_cell_length_a 5.734
_cell_length_b 5.734
_cell_length_c 5.734
_cell_angle_alpha 137.43
_cell_angle_beta 137.43
_cell_angle_gamma 61.78
loop_
_symmetry_equiv_pos_as_xyz
'x,y,z'
loop_
_atom_site_label
_atom_site_fract_x
_atom_site_fract_y
_atom_site_fract_z
Tb1 0.000 0.000 0.000
Fe1 0.375 0.375 0.000
Fe2 0.625 0.625 0.000
W1 0.250 0.750 0.500
W2 0.750 0.250 0.500
```

Largest 6 diffraction maxima, in order of rising 2θ, 10 to 80 degrees two-theta:
d_spacing  I (rel.)
4.921  20
2.577  23
2.526  100
2.081  43
1.433  17
1.272  24

=====

# Na2PuZnS4
Theoretical PXRD pattern, Cu Kα (λ = 1.5418 Å). Input: a cell relaxed with PBE.
Intensities are scaled so that the largest is 100.

Cell and atoms:
```
data_Na2PuZnS4
_chemical_formula_sum 'Na2 Pu1 Zn1 S4'
_symmetry_space_group_name_H-M 'P 1'
_symmetry_Int_Tables_number 1
_cell_length_a 6.347
_cell_length_b 6.347
_cell_length_c 6.809
_cell_angle_alpha 122.03
_cell_angle_beta 122.03
_cell_angle_gamma 81.84
loop_
_symmetry_equiv_pos_as_xyz
'x,y,z'
loop_
_atom_site_label
_atom_site_fract_x
_atom_site_fract_y
_atom_site_fract_z
Na1 0.000 0.000 0.000
Na2 0.750 0.250 0.500
Pu1 0.499 0.501 0.000
Zn1 0.251 0.749 0.500
S1 0.160 0.412 0.515
S2 0.360 0.099 0.943
S3 0.588 0.840 0.485
S4 0.901 0.640 0.057
```

Largest 6 diffraction maxima, in order of rising 2θ, 10 to 80 degrees two-theta:
d_spacing  I (rel.)
5.273  100
3.156  42
3.141  43
2.874  20
2.853  20
1.775  25

=====

# Tl2H6IrPd
Theoretical PXRD pattern, Cu Kα (λ = 1.5418 Å). Input: a cell relaxed with PBE.
Intensities are scaled so that the largest is 100.

Cell and atoms:
```
data_Tl2H6IrPd
_chemical_formula_sum 'Tl2 H6 Ir1 Pd1'
_symmetry_space_group_name_H-M 'P 1'
_symmetry_Int_Tables_number 1
_cell_length_a 5.375
_cell_length_b 5.375
_cell_length_c 5.375
_cell_angle_alpha 60.00
_cell_angle_beta 60.00
_cell_angle_gamma 60.00
loop_
_symmetry_equiv_pos_as_xyz
'x,y,z'
loop_
_atom_site_label
_atom_site_fract_x
_atom_site_fract_y
_atom_site_fract_z
Tl1 0.250 0.250 0.250
Tl2 0.750 0.750 0.750
H1 0.232 0.232 0.768
H2 0.232 0.768 0.232
H3 0.232 0.768 0.768
H4 0.768 0.232 0.232
H5 0.768 0.232 0.768
H6 0.768 0.768 0.232
Ir1 0.000 0.000 0.000
Pd1 0.500 0.500 0.500
```

Largest 6 diffraction maxima, in order of rising 2θ, 10 to 80 degrees two-theta:
d_spacing  I (rel.)
4.389  3
2.688  100
1.901  19
1.552  39
1.344  12
1.202  17

=====

# Li2ZnGa2Ag2Au
Theoretical PXRD pattern, Cu Kα (λ = 1.5418 Å). Input: a cell relaxed with PBE.
Intensities are scaled so that the largest is 100.

Cell and atoms:
```
data_Li2ZnGa2Ag2Au
_chemical_formula_sum 'Li2 Zn1 Ga2 Ag2 Au1'
_symmetry_space_group_name_H-M 'P 1'
_symmetry_Int_Tables_number 1
_cell_length_a 4.472
_cell_length_b 4.472
_cell_length_c 6.330
_cell_angle_alpha 90.00
_cell_angle_beta 90.00
_cell_angle_gamma 90.00
loop_
_symmetry_equiv_pos_as_xyz
'x,y,z'
loop_
_atom_site_label
_atom_site_fract_x
_atom_site_fract_y
_atom_site_fract_z
Li1 0.000 0.500 0.250
Li2 0.500 0.000 0.750
Zn1 0.000 0.000 0.500
Ga1 0.000 0.500 0.750
Ga2 0.500 0.000 0.250
Ag1 0.000 0.000 0.000
Ag2 0.500 0.500 0.500
Au1 0.500 0.500 0.000
```

Largest 6 diffraction maxima, in order of rising 2θ, 10 to 80 degrees two-theta:
d_spacing  I (rel.)
3.652  12
3.163  35
2.236  100
1.581  16
1.414  12
1.291  33

=====

# ScAlHg2
Theoretical PXRD pattern, Cu Kα (λ = 1.5418 Å). Input: a cell relaxed with PBE.
Intensities are scaled so that the largest is 100.

Cell and atoms:
```
data_ScAlHg2
_chemical_formula_sum 'Sc2 Al2 Hg4'
_symmetry_space_group_name_H-M 'P 1'
_symmetry_Int_Tables_number 1
_cell_length_a 4.834
_cell_length_b 6.277
_cell_length_c 6.277
_cell_angle_alpha 120.61
_cell_angle_beta 90.00
_cell_angle_gamma 90.00
loop_
_symmetry_equiv_pos_as_xyz
'x,y,z'
loop_
_atom_site_label
_atom_site_fract_x
_atom_site_fract_y
_atom_site_fract_z
Sc1 0.250 0.165 0.835
Sc2 0.750 0.835 0.165
Al1 0.250 0.177 0.328
Al2 0.750 0.328 0.177
Hg1 0.250 0.653 0.317
Hg2 0.250 0.668 0.838
Hg3 0.750 0.317 0.653
Hg4 0.750 0.838 0.668
```

Largest 6 diffraction maxima, in order of rising 2θ, 10 to 80 degrees two-theta:
d_spacing  I (rel.)
5.402  56
3.602  54
2.417  36
2.375  52
2.358  100
1.569  25

=====

# RbUTe2AuSe
Theoretical PXRD pattern, Cu Kα (λ = 1.5418 Å). Input: a cell relaxed with PBE.
Intensities are scaled so that the largest is 100.

Cell and atoms:
```
data_RbUTe2AuSe
_chemical_formula_sum 'Rb2 U2 Te4 Au2 Se2'
_symmetry_space_group_name_H-M 'P 1'
_symmetry_Int_Tables_number 1
_cell_length_a 8.373
_cell_length_b 8.373
_cell_length_c 11.292
_cell_angle_alpha 91.37
_cell_angle_beta 91.37
_cell_angle_gamma 29.92
loop_
_symmetry_equiv_pos_as_xyz
'x,y,z'
loop_
_atom_site_label
_atom_site_fract_x
_atom_site_fract_y
_atom_site_fract_z
Rb1 0.238 0.238 0.279
Rb2 0.762 0.762 0.721
U1 0.000 0.000 0.000
U2 0.000 0.000 0.500
Te1 0.077 0.077 0.752
Te2 0.367 0.367 0.948
Te3 0.633 0.633 0.052
Te4 0.923 0.923 0.248
Au1 0.466 0.466 0.756
Au2 0.534 0.534 0.244
Se1 0.387 0.387 0.546
Se2 0.613 0.613 0.454
```

Largest 6 diffraction maxima, in order of rising 2θ, 10 to 80 degrees two-theta:
d_spacing  I (rel.)
8.087  100
3.218  29
2.915  33
2.876  29
2.822  26
2.162  22